Simulated powder XRD pattern of Y2Ho2CBr3Cl2 for Cu Kα X-rays, from DFT lattice parameters and positions (GGA-PBE).
Kinematic intensities with the Lorentz-polarization factor, no thermal factor.

Atomic structure:
```
Y2Ho2CBr3Cl2
1.0
8.7760 -1.8932 0.0000
8.7760 1.8932 0.0000
-1.9113 0.0000 7.8422
Y Ho C Br Cl
2 2 1 3 2
Cartesian
-0.3843 0.0000 1.5896 Y
16.0251 0.0000 6.2526 Y
4.5587 0.0000 7.2369 Ho
11.0820 0.0000 0.6052 Ho
8.7760 0.0000 0.0000 C
1.4185 0.0000 6.5239 Br
7.8204 0.0000 3.9211 Br
14.2222 0.0000 1.3183 Br
2.2112 0.0000 2.5402 Cl
13.4295 0.0000 5.3020 Cl
```

Peak list (12 most intense, 10° ≤ 2θ ≤ 90°, in order of rising 2θ)
2θ/deg, Rel. int.
11.3, 93
21.2, 16
26.1, 28
29.1, 15
31.5, 39
32.0, 23
32.4, 100
35.3, 25
44.9, 16
45.7, 22
45.9, 26
48.1, 20


Simulated powder XRD pattern of KGd for Cu Kα X-rays, from DFT lattice parameters and positions (GGA-PBE).
Kinematic intensities with the Lorentz-polarization factor, no thermal factor.

Atomic structure:
```
KGd
1.0
3.6595 0.0000 0.0000
-1.8297 3.1692 0.0000
0.0000 0.0000 7.1673
K Gd
1 1
Cartesian
0.0000 0.0000 0.0000 K
0.0000 2.1128 3.5837 Gd
```

Peak list (12 most intense, 10° ≤ 2θ ≤ 90°, in order of rising 2θ)
2θ/deg, Rel. int.
12.3, 55
24.8, 35
28.2, 38
30.8, 100
37.9, 35
47.7, 29
49.8, 15
51.6, 10
56.5, 21
59.2, 10
59.8, 15
81.5, 12


Simulated powder XRD pattern of Lu2InGaFe4 for Cu Kα X-rays, from DFT lattice parameters and positions (GGA-PBE).
Kinematic intensities with the Lorentz-polarization factor, no thermal factor.

Atomic structure:
```
Lu2InGaFe4
1.0
3.9632 0.0000 0.0000
0.0000 4.9355 0.0000
0.0000 0.0000 6.8941
Lu In Ga Fe
2 1 1 4
Cartesian
0.0000 0.0000 0.0000 Lu
0.0000 2.4678 2.7419 Lu
1.9816 0.0000 2.4003 In
1.9816 2.4678 0.2686 Ga
0.0000 0.0000 4.2421 Fe
0.0000 2.4678 5.5067 Fe
1.9816 1.2369 4.8713 Fe
1.9816 3.6986 4.8713 Fe
```

Peak list (12 most intense, 10° ≤ 2θ ≤ 90°, in order of rising 2θ)
2θ/deg, Rel. int.
31.7, 100
34.5, 17
36.4, 27
39.2, 98
43.2, 18
43.4, 15
45.2, 27
45.8, 29
59.9, 13
61.8, 12
62.6, 14
67.3, 14


Simulated powder XRD pattern of Na3Fe2 for Cu Kα X-rays, from DFT lattice parameters and positions (GGA-PBE).
Kinematic intensities with the Lorentz-polarization factor, no thermal factor.

Atomic structure:
```
Na3Fe2
1.0
3.0901 1.7841 6.7921
-3.0901 1.7841 6.7921
0.0000 -3.5681 6.7921
Na Fe
6 4
Cartesian
-1.5885 0.8167 8.4901 Na
-1.5016 -0.9673 11.8862 Na
0.0870 -1.7841 8.4901 Na
-0.0870 1.7841 11.8862 Na
1.5016 0.9673 8.4901 Na
1.5885 -0.8167 11.8862 Na
0.0000 0.0000 4.0568 Fe
0.0000 0.0000 6.1314 Fe
0.0000 0.0000 14.2449 Fe
0.0000 0.0000 16.3196 Fe
```

Peak list (12 most intense, 10° ≤ 2θ ≤ 90°, in order of rising 2θ)
2θ/deg, Rel. int.
18.7, 87
28.9, 51
34.7, 100
38.0, 31
39.2, 38
39.4, 21
45.7, 16
47.8, 27
58.2, 21
59.9, 23
62.4, 15
65.0, 20


Simulated powder XRD pattern of DyHo4Bi5 for Cu Kα X-rays, from DFT lattice parameters and positions (GGA-PBE).
Kinematic intensities with the Lorentz-polarization factor, no thermal factor.

Atomic structure:
```
DyHo4Bi5
1.0
-2.2249 2.2249 15.7324
2.2249 -2.2249 15.7324
2.2249 2.2249 -15.7324
Dy Ho Bi
1 4 5
Cartesian
0.0000 0.0000 0.0000 Dy
0.0000 0.0000 6.2977 Ho
0.0000 0.0000 12.5859 Ho
0.0000 0.0000 18.8789 Ho
0.0000 0.0000 25.1671 Ho
0.0000 0.0000 3.1541 Bi
0.0000 0.0000 9.4409 Bi
0.0000 0.0000 15.7324 Bi
0.0000 0.0000 22.0239 Bi
0.0000 0.0000 28.3107 Bi
```

Peak list (11 most intense, 10° ≤ 2θ ≤ 90°, in order of rising 2θ)
2θ/deg, Rel. int.
24.5, 3
28.4, 100
40.5, 78
47.9, 2
50.2, 28
58.7, 13
64.6, 1
66.4, 37
73.8, 28
79.1, 1
87.7, 9